This entry pairs a crystal structure of TaTe4Os with its simulated powder XRD pattern. Radiation: copper Kα. Structure: a cell relaxed with PBE.
Intensities are scaled so that the largest is 100.

Principal peaks in the range 2θ = 10–80°, by intensity:
(0 0 2), d 6.879, I 100
(1 2 3), d 2.643, I 63
(1 2 2), d 2.927, I 54
(1 2 5), d 2.096, I 32
(1 4 2), d 2.278, I 26
(2 0 0), d 1.887, I 19
(0 4 1), d 3.063, I 17
(0 4 3), d 2.592, I 16
(0 2 5), d 2.520, I 14
(0 4 4), d 2.320, I 13
(0 4 2), d 2.858, I 12
(0 2 1), d 5.716, I 11

a b c (Å): 3.7731 12.5684 13.7570
angles (deg): 90.00 90.00 90.00
Space group Pmn2_1 (No. 31)
Asymmetric unit:
Ta1 0.0000 0.0596 0.0000 (multiplicity 2)
Ta2 0.0000 0.2761 0.4836 (multiplicity 2)
Te1 0.0000 0.0656 0.3904 (multiplicity 2)
Te2 0.0000 0.1967 0.8481 (multiplicity 2)
Te3 0.0000 0.3474 0.0848 (multiplicity 2)
Te4 0.0000 0.4166 0.6318 (multiplicity 2)
Te5 0.0000 0.5649 0.3945 (multiplicity 2)
Te6 0.0000 0.6764 0.8421 (multiplicity 2)
Te7 0.0000 0.8490 0.0960 (multiplicity 2)
Te8 0.0000 0.8925 0.6412 (multiplicity 2)
Os1 0.0000 0.5459 0.9972 (multiplicity 2)
Os2 0.0000 0.7639 0.4832 (multiplicity 2)


This entry pairs a crystal structure of TaTiOs2 with its simulated powder XRD pattern. Radiation: copper Kα. Structure: a cell relaxed with PBE.
Intensities are scaled so that the largest is 100.

Principal peaks in the range 2θ = 10–80°, by intensity:
(2 2 0), d 2.225, I 100
(4 2 2), d 1.284, I 35
(4 0 0), d 1.573, I 17
(1 1 1), d 3.633, I 12
(2 0 0), d 3.146, I 8
(3 1 1), d 1.897, I 6
(4 2 0), d 1.407, I 3
(3 3 1), d 1.444, I 3
(2 2 2), d 1.816, I 2
(5 1 1), d 1.211, I 2

a b c (Å): 6.2923 6.2923 6.2923
angles (deg): 90.00 90.00 90.00
Space group Fm-3m (No. 225)
Asymmetric unit:
Ta1 0.0000 0.0000 0.0000 (multiplicity 4)
Ti1 0.0000 0.0000 0.5000 (multiplicity 4)
Os1 0.2500 0.2500 0.2500 (multiplicity 8)


This entry pairs a crystal structure of TmTaOs2 with its simulated powder XRD pattern. Radiation: copper Kα. Structure: a cell relaxed with PBE.
Intensities are scaled so that the largest is 100.

Principal peaks in the range 2θ = 10–80°, by intensity:
(2 2 0), d 2.308, I 100
(4 2 2), d 1.332, I 35
(4 0 0), d 1.632, I 17

a b c (Å): 6.5267 6.5267 6.5267
angles (deg): 90.00 90.00 90.00
Space group Fm-3m (No. 225)
Asymmetric unit:
Tm1 0.0000 0.0000 0.0000 (multiplicity 4)
Ta1 0.0000 0.0000 0.5000 (multiplicity 4)
Os1 0.2500 0.2500 0.2500 (multiplicity 8)


This entry pairs a crystal structure of Ta2VOs with its simulated powder XRD pattern. Radiation: copper Kα. Structure: a cell relaxed with PBE.
Intensities are scaled so that the largest is 100.

Principal peaks in the range 2θ = 10–80°, by intensity:
(2 2 0), d 2.242, I 100
(4 2 2), d 1.294, I 35
(4 0 0), d 1.585, I 17
(1 1 1), d 3.661, I 13
(3 1 1), d 1.912, I 7
(2 0 0), d 3.171, I 5
(3 3 1), d 1.455, I 3
(5 1 1), d 1.220, I 2
(4 2 0), d 1.418, I 2
(2 2 2), d 1.830, I 2

a b c (Å): 6.3410 6.3410 6.3410
angles (deg): 90.00 90.00 90.00
Space group Fm-3m (No. 225)
Asymmetric unit:
Ta1 0.2500 0.2500 0.2500 (multiplicity 8)
V1 0.0000 0.0000 0.0000 (multiplicity 4)
Os1 0.0000 0.0000 0.5000 (multiplicity 4)


This entry pairs a crystal structure of Ta2OsW with its simulated powder XRD pattern. Radiation: copper Kα. Structure: a cell relaxed with PBE.
Intensities are scaled so that the largest is 100.

Principal peaks in the range 2θ = 10–80°, by intensity:
(2 2 0), d 2.273, I 100
(4 2 2), d 1.312, I 35
(4 0 0), d 1.607, I 17

a b c (Å): 6.4292 6.4292 6.4292
angles (deg): 90.00 90.00 90.00
Space group Fm-3m (No. 225)
Asymmetric unit:
Ta1 0.2500 0.2500 0.2500 (multiplicity 8)
Os1 0.0000 0.0000 0.0000 (multiplicity 4)
W1 0.0000 0.0000 0.5000 (multiplicity 4)


This entry pairs a crystal structure of Ti2TcOs with its simulated powder XRD pattern. Radiation: copper Kα. Structure: a cell relaxed with PBE.
Intensities are scaled so that the largest is 100.

Principal peaks in the range 2θ = 10–80°, by intensity:
(2 2 0), d 2.193, I 100
(2 0 0), d 3.101, I 33
(4 2 2), d 1.266, I 33
(4 0 0), d 1.551, I 16
(4 2 0), d 1.387, I 13
(1 1 1), d 3.581, I 12
(2 2 2), d 1.790, I 10
(3 1 1), d 1.870, I 7
(3 3 1), d 1.423, I 3

a b c (Å): 6.2020 6.2020 6.2020
angles (deg): 90.00 90.00 90.00
Space group Fm-3m (No. 225)
Asymmetric unit:
Ti1 0.2500 0.2500 0.2500 (multiplicity 8)
Tc1 0.0000 0.0000 0.0000 (multiplicity 4)
Os1 0.0000 0.0000 0.5000 (multiplicity 4)


Question: Which formula does entry 5 have?
Answer: Ta2OsW